# U2Fe3Pt2
Theoretical PXRD pattern, a wavelength of 1.5418 Å. Input: the GGA-PBE geometry in Alexandria.

The 12 most intense peaks (2θ from 15° to 90°), low angle first:
d 3.184, I = 100; d 3.000, I = 54; d 2.871, I = 25; d 2.757, I = 27; d 2.239, I = 77; d 2.227, I = 55; d 2.180, I = 18; d 2.132, I = 44; d 2.081, I = 35; d 1.788, I = 26; d 1.520, I = 28; d 1.419, I = 20

Cell and atoms:
abc: 12.563 4.455 4.564
angles: 90.00 107.24 90.00
Atoms (fractional coordinates):
U1 0.135 0.000 0.236
U2 0.365 0.500 0.764
U3 0.635 0.500 0.236
U4 0.865 0.000 0.764
Fe1 0.000 0.000 0.500
Fe2 0.207 0.000 0.873
Fe3 0.293 0.500 0.127
Fe4 0.500 0.500 0.500
Fe5 0.707 0.500 0.873
Fe6 0.793 0.000 0.127
Pt1 0.109 0.500 0.671
Pt2 0.391 0.000 0.329
Pt3 0.609 0.000 0.671
Pt4 0.891 0.500 0.329

---

# LaBi2C
Theoretical PXRD pattern, a wavelength of 1.5418 Å. Input: the GGA-PBE geometry in Alexandria.

The 12 most intense peaks (2θ from 15° to 90°), low angle first:
d 3.106, I = 100; d 3.025, I = 78; d 2.715, I = 18; d 2.428, I = 16; d 2.415, I = 26; d 2.044, I = 20; d 2.020, I = 13; d 1.982, I = 14; d 1.698, I = 15; d 1.645, I = 18; d 1.601, I = 22; d 1.503, I = 15

Cell and atoms:
abc: 7.679 7.679 7.284
angles: 90.00 90.00 90.00
Atoms (fractional coordinates):
La1 0.000 0.000 0.000
La2 0.000 0.500 0.250
La3 0.500 0.000 0.750
La4 0.500 0.500 0.500
Bi1 0.152 0.750 0.625
Bi2 0.250 0.152 0.375
Bi3 0.250 0.348 0.875
Bi4 0.348 0.750 0.125
Bi5 0.652 0.250 0.125
Bi6 0.750 0.652 0.875
Bi7 0.750 0.848 0.375
Bi8 0.848 0.250 0.625
C1 0.000 0.000 0.500
C2 0.000 0.500 0.750
C3 0.500 0.000 0.250
C4 0.500 0.500 0.000

---

# Pm2ThPt3
Theoretical PXRD pattern, a wavelength of 1.5418 Å. Input: the GGA-PBE geometry in Alexandria.

The 12 most intense peaks (2θ from 15° to 90°), low angle first:
d 2.956, I = 100; d 2.096, I = 13; d 2.090, I = 51; d 2.083, I = 13; d 1.710, I = 14; d 1.703, I = 14; d 1.479, I = 8; d 1.325, I = 6; d 1.322, I = 23; d 1.318, I = 6; d 1.209, I = 9; d 1.204, I = 9

Cell and atoms:
abc: 7.253 7.253 8.332
angles: 106.62 106.62 48.13
Atoms (fractional coordinates):
Pm1 0.165 0.167 0.083
Pm2 0.167 0.165 0.583
Pm3 0.833 0.835 0.417
Pm4 0.835 0.833 0.917
Th1 0.499 0.501 0.750
Th2 0.501 0.499 0.250
Pt1 0.001 0.999 0.250
Pt2 0.337 0.339 0.419
Pt3 0.339 0.337 0.919
Pt4 0.661 0.663 0.081
Pt5 0.663 0.661 0.581
Pt6 0.999 0.001 0.750

---

# PuSc2Ru3
Theoretical PXRD pattern, a wavelength of 1.5418 Å. Input: the GGA-PBE geometry in Alexandria.

The 12 most intense peaks (2θ from 15° to 90°), low angle first:
d 4.893, I = 11; d 3.100, I = 13; d 2.717, I = 10; d 2.309, I = 100; d 2.249, I = 5; d 2.089, I = 5; d 1.958, I = 4; d 1.679, I = 5; d 1.634, I = 11; d 1.631, I = 6; d 1.333, I = 34; d 1.155, I = 11

Cell and atoms:
abc: 3.268 3.268 9.786
angles: 90.00 90.00 90.00
Atoms (fractional coordinates):
Pu1 0.000 0.000 0.000
Sc1 0.000 0.000 0.342
Sc2 0.000 0.000 0.658
Ru1 0.500 0.500 0.167
Ru2 0.500 0.500 0.500
Ru3 0.500 0.500 0.833

---

What is the formula in the third record?
Pm2ThPt3